Starting from the GGA+U geometry in the Materials Project, the powder diffraction line list of MnHO2 was calculated for a wavelength of 1.5418 Å.
Lines closer than 0.1° are merged.

Crystal structure
a = 10.9252 Å, b = 2.9331 Å, c = 4.6073 Å
α = 90.00°, β = 90.00°, γ = 90.00°
Positions (direct):
Mn 0.1404 0.2500 0.0539
Mn 0.3596 0.7500 0.5539
Mn 0.6404 0.2500 0.4461
Mn 0.8596 0.7500 0.9461
H 0.1083 0.7500 0.6004
H 0.3917 0.2500 0.1004
H 0.6083 0.7500 0.8996
H 0.8917 0.2500 0.3996
O 0.0724 0.7500 0.8063
O 0.1845 0.7500 0.3068
O 0.3155 0.2500 0.8068
O 0.4276 0.2500 0.3063
O 0.5724 0.7500 0.6937
O 0.6845 0.7500 0.1932
O 0.8155 0.2500 0.6932
O 0.9276 0.2500 0.1937

The 6 most intense peaks (15° ≤ 2θ ≤ 90°), most intense first:
- 20.93 deg, 4.245 Å, I = 100
- 37.26 deg, 2.413 Å, I = 67
- 31.31 deg, 2.857 Å, I = 43
- 32.79 deg, 2.731 Å, I = 42
- 53.27 deg, 1.720 Å, I = 40
- 56.16 deg, 1.638 Å, I = 30

=====

Starting from the GGA+U geometry in the Materials Project, the powder diffraction line list of MnH2O2 was calculated for a wavelength of 1.5418 Å.
Lines closer than 0.1° are merged.

Crystal structure
a = 3.3752 Å, b = 3.3756 Å, c = 4.7961 Å
α = 90.21°, β = 90.96°, γ = 119.97°
Positions (direct):
Mn 0.0000 0.0000 0.0000
H 0.3471 0.6924 0.4280
H 0.6522 0.3406 0.5720
O 0.3434 0.6732 0.2252
O 0.6563 0.3277 0.7747

The 6 most intense peaks (15° ≤ 2θ ≤ 90°), most intense first:
- 18.50 deg, 4.795 Å, I = 100
- 36.16 deg, 2.484 Å, I = 74
- 35.62 deg, 2.520 Å, I = 37
- 30.58 deg, 2.923 Å, I = 35
- 54.36 deg, 1.688 Å, I = 33
- 48.59 deg, 1.874 Å, I = 13

=====

Starting from the GGA+U geometry in the Materials Project, the powder diffraction line list of MnHO2 was calculated for a wavelength of 1.5418 Å.
Lines closer than 0.1° are merged.

Crystal structure
a = 8.0355 Å, b = 8.0355 Å, c = 8.0355 Å
α = 91.94°, β = 91.94°, γ = 158.79°
Positions (direct):
Mn 0.1449 0.6514 0.7963
Mn 0.3486 0.1449 0.4935
Mn 0.6514 0.8551 0.5065
Mn 0.8551 0.3486 0.2037
H 0.3288 0.4207 0.7495
H 0.4207 0.6712 0.0920
H 0.5793 0.3288 0.9080
H 0.6712 0.5793 0.2505
O 0.0435 0.3282 0.3717
O 0.2783 0.3495 0.6277
O 0.3282 0.9565 0.2847
O 0.3495 0.7217 0.0712
O 0.6505 0.2783 0.9288
O 0.6718 0.0435 0.7153
O 0.7217 0.6505 0.3723
O 0.9565 0.6718 0.6283

The 6 most intense peaks (15° ≤ 2θ ≤ 90°), most intense first:
- 25.21 deg, 3.532 Å, I = 100
- 15.87 deg, 5.585 Å, I = 88
- 53.99 deg, 1.698 Å, I = 78
- 35.26 deg, 2.545 Å, I = 76
- 32.05 deg, 2.792 Å, I = 54
- 61.73 deg, 1.503 Å, I = 31

=====

Starting from the GGA+U geometry in the Materials Project, the powder diffraction line list of MnH2O2 was calculated for a wavelength of 1.5418 Å.
Lines closer than 0.1° are merged.

Crystal structure
a = 3.6068 Å, b = 3.6068 Å, c = 4.4675 Å
α = 90.00°, β = 90.00°, γ = 120.00°
Positions (direct):
Mn 0.0000 0.0000 0.0000
H 0.3333 0.6667 0.4482
H 0.6667 0.3333 0.0398
O 0.3333 0.6667 0.2297
O 0.6667 0.3333 0.8186

The 6 most intense peaks (15° ≤ 2θ ≤ 90°), most intense first:
- 35.05 deg, 2.560 Å, I = 100
- 19.87 deg, 4.468 Å, I = 93
- 50.21 deg, 1.817 Å, I = 45
- 50.62 deg, 1.803 Å, I = 36
- 28.58 deg, 3.124 Å, I = 35
- 54.90 deg, 1.672 Å, I = 29

=====

Starting from the GGA+U geometry in the Materials Project, the powder diffraction line list of MnHO2 was calculated for a wavelength of 1.5418 Å.
Lines closer than 0.1° are merged.

Crystal structure
a = 6.0763 Å, b = 6.1019 Å, c = 9.0017 Å
α = 89.97°, β = 89.93°, γ = 89.94°
Positions (direct):
Mn 0.0000 0.0000 0.0000
Mn 0.0002 0.4998 0.0012
Mn 0.2195 0.7211 0.2509
Mn 0.2818 0.2206 0.7513
Mn 0.5006 0.9420 0.5001
Mn 0.5017 0.4419 0.5008
Mn 0.7196 0.7206 0.2499
Mn 0.7818 0.2221 0.7498
H 0.0439 0.6431 0.7405
H 0.0749 0.6862 0.5109
H 0.4251 0.2432 0.0130
H 0.4713 0.3007 0.2379
H 0.5452 0.8007 0.7613
H 0.5738 0.7453 0.9891
H 0.9291 0.1946 0.4902
H 0.9556 0.1401 0.2622
O 0.0294 0.0250 0.7789
O 0.0297 0.4941 0.7801
O 0.1959 0.7478 0.0296
O 0.2253 0.6950 0.4721
O 0.2753 0.2435 0.9728
O 0.3055 0.1942 0.5296
O 0.4715 0.9173 0.2792
O 0.4754 0.4488 0.2794
O 0.5295 0.4175 0.7220
O 0.5298 0.9489 0.7210
O 0.6966 0.6942 0.4718
O 0.7243 0.7443 0.0280
O 0.7780 0.1981 0.5283
O 0.8043 0.2482 0.9716
O 0.9704 0.9923 0.2212
O 0.9718 0.5244 0.2222

The 6 most intense peaks (15° ≤ 2θ ≤ 90°), most intense first:
- 17.58 deg, 5.044 Å, I = 100
- 41.97 deg, 2.153 Å, I = 29
- 40.07 deg, 2.250 Å, I = 19
- 34.38 deg, 2.609 Å, I = 17
- 59.41 deg, 1.556 Å, I = 15
- 34.46 deg, 2.603 Å, I = 10

=====

Starting from the GGA+U geometry in the Materials Project, the powder diffraction line list of Mn2HO4 was calculated for a wavelength of 1.5418 Å.
Lines closer than 0.1° are merged.

Crystal structure
a = 10.2569 Å, b = 10.2569 Å, c = 5.9930 Å
α = 90.00°, β = 90.00°, γ = 90.00°
Positions (direct):
Mn 0.0832 0.1026 0.1213
Mn 0.0878 0.1046 0.6302
Mn 0.1026 0.4168 0.3787
Mn 0.1046 0.4122 0.8698
Mn 0.3954 0.0878 0.8698
Mn 0.3974 0.0832 0.3787
Mn 0.4122 0.3954 0.6302
Mn 0.4168 0.3974 0.1213
Mn 0.5832 0.6026 0.8787
Mn 0.5878 0.6046 0.3698
Mn 0.6026 0.9168 0.6213
Mn 0.6046 0.9122 0.1302
Mn 0.8954 0.5878 0.1302
Mn 0.8974 0.5832 0.6213
Mn 0.9122 0.8954 0.3698
Mn 0.9168 0.8974 0.8787
H 0.1048 0.8179 0.6236
H 0.1821 0.6048 0.1236
H 0.3179 0.8952 0.1236
H 0.3952 0.6821 0.6236
H 0.6048 0.3179 0.3764
H 0.6821 0.1048 0.8764
H 0.8179 0.3952 0.8764
H 0.8952 0.1821 0.3764
O 0.0435 0.9106 0.1269
O 0.0468 0.8934 0.6200
O 0.0841 0.2937 0.1254
O 0.0882 0.2978 0.6218
O 0.0894 0.5435 0.6269
O 0.1066 0.5468 0.1200
O 0.2022 0.0882 0.8782
O 0.2063 0.0841 0.3746
O 0.2937 0.4159 0.3746
O 0.2978 0.4118 0.8782
O 0.3934 0.9532 0.1200
O 0.4106 0.9565 0.6269
O 0.4118 0.2022 0.6218
O 0.4159 0.2063 0.1254
O 0.4532 0.6066 0.6200
O 0.4565 0.5894 0.1269
O 0.5435 0.4106 0.8731
O 0.5468 0.3934 0.3800
O 0.5841 0.7937 0.8746
O 0.5882 0.7978 0.3782
O 0.5894 0.0435 0.3731
O 0.6066 0.0468 0.8800
O 0.7022 0.5882 0.1218
O 0.7063 0.5841 0.6254
O 0.7937 0.9159 0.6254
O 0.7978 0.9118 0.1218
O 0.8934 0.4532 0.8800
O 0.9106 0.4565 0.3731
O 0.9118 0.7022 0.3782
O 0.9159 0.7063 0.8746
O 0.9532 0.1066 0.3800
O 0.9565 0.0894 0.8731

The 6 most intense peaks (15° ≤ 2θ ≤ 90°), most intense first:
- 17.29 deg, 5.128 Å, I = 100
- 35.79 deg, 2.509 Å, I = 89
- 27.50 deg, 3.244 Å, I = 77
- 57.32 deg, 1.607 Å, I = 56
- 47.50 deg, 1.914 Å, I = 44
- 34.99 deg, 2.564 Å, I = 40